# 1
This entry pairs a crystal structure of Mn2PdAu9 with its simulated powder diffractogram. Radiation: λ = 1.5418 Å (Cu Kα). Structure: the PBE geometry in Alexandria.
Kinematic intensities with the Lorentz-polarization factor, no thermal factor.

Crystal structure
```
Mn2PdAu9
1.0
4.133 0.000 0.000
0.000 4.133 0.000
0.000 0.000 12.217
Mn Pd Au
2 1 9
Direct
0.000 0.000 0.170
0.000 0.000 0.830
0.000 0.000 0.500
0.000 0.500 0.000
0.000 0.500 0.332
0.000 0.500 0.668
0.500 0.000 0.000
0.500 0.000 0.332
0.500 0.000 0.668
0.500 0.500 0.166
0.500 0.500 0.500
0.500 0.500 0.834
```

The 8 most intense peaks (2θ from 10° to 90°), low angle first:
d_spacing, two_theta, I (rel.)
2.374, 37.89, 100
2.067, 43.81, 33
2.036, 44.49, 16
1.461, 63.68, 11
1.450, 64.22, 22
1.244, 76.56, 26
1.231, 77.54, 13
1.187, 80.99, 11

# 2
This entry pairs a crystal structure of Tb7Y12Pu with its simulated powder diffractogram. Radiation: λ = 1.5418 Å (Cu Kα). Structure: the PBE geometry in Alexandria.
Kinematic intensities with the Lorentz-polarization factor, no thermal factor.

Crystal structure
```
Tb7Y12Pu
1.0
6.719 3.879 4.128
-6.719 3.879 4.128
0.000 -7.759 4.128
Tb Y Pu
7 12 1
Direct
0.000 0.000 0.000
0.166 0.601 0.601
0.399 0.399 0.834
0.399 0.834 0.399
0.601 0.166 0.601
0.601 0.601 0.166
0.834 0.399 0.399
0.000 0.260 0.740
0.000 0.740 0.260
0.150 0.150 0.416
0.150 0.416 0.150
0.260 0.000 0.740
0.260 0.740 0.000
0.416 0.150 0.150
0.584 0.850 0.850
0.740 0.000 0.260
0.740 0.260 0.000
0.850 0.584 0.850
0.850 0.850 0.584
0.500 0.500 0.500
```

The 8 most intense peaks (2θ from 10° to 90°), low angle first:
d_spacing, two_theta, I (rel.)
3.360, 26.53, 26
2.992, 29.87, 49
2.862, 31.25, 58
2.830, 31.62, 100
2.633, 34.05, 28
2.608, 34.39, 51
2.452, 36.66, 22
1.627, 56.55, 22

# 3
This entry pairs a crystal structure of Pm3MgNi with its simulated powder diffractogram. Radiation: λ = 1.5418 Å (Cu Kα). Structure: the PBE geometry in Alexandria.
Kinematic intensities with the Lorentz-polarization factor, no thermal factor.

Crystal structure
```
Pm3MgNi
1.0
8.736 0.000 0.000
0.000 3.869 0.000
-4.004 0.000 8.319
Pm Mg Ni
6 2 2
Direct
0.007 0.250 0.171
0.229 0.750 0.553
0.364 0.750 0.220
0.636 0.250 0.780
0.771 0.250 0.447
0.993 0.750 0.829
0.333 0.250 0.904
0.667 0.750 0.096
0.395 0.250 0.444
0.605 0.750 0.556
```

The 8 most intense peaks (2θ from 10° to 90°), low angle first:
d_spacing, two_theta, I (rel.)
7.593, 11.65, 57
3.473, 25.65, 34
3.079, 29.00, 38
3.007, 29.71, 68
2.887, 30.97, 27
2.773, 32.28, 32
2.710, 33.05, 100
1.936, 46.94, 34

# 4
This entry pairs a crystal structure of PrZn5Cu2 with its simulated powder diffractogram. Radiation: λ = 1.5418 Å (Cu Kα). Structure: the PBE geometry in Alexandria.
Kinematic intensities with the Lorentz-polarization factor, no thermal factor.

Crystal structure
```
PrZn5Cu2
1.0
3.979 0.000 0.000
0.000 7.193 0.000
0.000 0.000 9.586
Pr Zn Cu
2 10 4
Direct
0.000 0.000 0.000
0.500 0.500 0.500
0.000 0.187 0.353
0.000 0.187 0.647
0.000 0.500 0.000
0.000 0.813 0.353
0.000 0.813 0.647
0.500 0.000 0.500
0.500 0.313 0.147
0.500 0.313 0.853
0.500 0.687 0.147
0.500 0.687 0.853
0.000 0.500 0.252
0.000 0.500 0.748
0.500 0.000 0.248
0.500 0.000 0.752
```

The 8 most intense peaks (2θ from 10° to 90°), low angle first:
d_spacing, two_theta, I (rel.)
2.817, 31.77, 37
2.570, 34.91, 100
2.491, 36.05, 98
2.054, 44.10, 26
1.994, 45.48, 58
1.990, 45.60, 43
1.888, 48.21, 28
1.408, 66.37, 35

# 5
This entry pairs a crystal structure of AgPd2S with its simulated powder diffractogram. Radiation: λ = 1.5418 Å (Cu Kα). Structure: the PBE geometry in Alexandria.
Kinematic intensities with the Lorentz-polarization factor, no thermal factor.

Crystal structure
```
AgPd2S
1.0
9.085 0.000 0.000
0.000 4.973 0.000
-0.842 0.000 5.945
Ag Pd S
4 8 4
Direct
0.087 0.232 0.269
0.087 0.268 0.769
0.913 0.732 0.231
0.913 0.768 0.731
0.181 0.750 0.038
0.181 0.750 0.538
0.365 0.244 0.577
0.365 0.256 0.077
0.635 0.744 0.923
0.635 0.756 0.423
0.819 0.250 0.462
0.819 0.250 0.962
0.372 0.611 0.328
0.372 0.889 0.828
0.628 0.111 0.172
0.628 0.389 0.672
```

The 8 most intense peaks (2θ from 10° to 90°), low angle first:
d_spacing, two_theta, I (rel.)
2.568, 34.94, 72
2.487, 36.12, 97
2.380, 37.79, 69
2.344, 38.41, 100
2.249, 40.09, 35
2.113, 42.80, 64
2.070, 43.73, 35
2.049, 44.20, 53

# 6
This entry pairs a crystal structure of Be2RhSe with its simulated powder diffractogram. Radiation: λ = 1.5418 Å (Cu Kα). Structure: the PBE geometry in Alexandria.
Kinematic intensities with the Lorentz-polarization factor, no thermal factor.

Crystal structure
```
Be2RhSe
1.0
2.835 0.000 0.000
0.000 2.892 0.000
0.000 0.000 6.599
Be Rh Se
2 1 1
Direct
0.000 0.000 0.178
0.000 0.000 0.822
0.500 0.500 0.000
0.000 0.500 0.500
```

The 8 most intense peaks (2θ from 10° to 90°), low angle first:
d_spacing, two_theta, I (rel.)
3.300, 27.02, 92
2.892, 30.92, 62
2.605, 34.43, 100
2.175, 41.52, 67
1.936, 46.94, 92
1.738, 52.66, 35
1.490, 62.33, 32
1.264, 75.15, 20

# 7
This entry pairs a crystal structure of Li6GaGe2 with its simulated powder diffractogram. Radiation: λ = 1.5418 Å (Cu Kα). Structure: the PBE geometry in Alexandria.
Kinematic intensities with the Lorentz-polarization factor, no thermal factor.

Crystal structure
```
Li6GaGe2
1.0
6.567 -3.830 0.000
6.567 3.830 0.000
-0.012 0.000 2.720
Li Ga Ge
6 1 2
Direct
0.163 0.500 0.996
0.163 0.837 0.000
0.500 0.163 0.996
0.500 0.837 0.004
0.837 0.163 0.000
0.837 0.500 0.004
0.500 0.500 0.500
0.167 0.167 0.499
0.833 0.833 0.501
```

The 8 most intense peaks (2θ from 10° to 90°), low angle first:
d_spacing, two_theta, I (rel.)
3.830, 23.22, 51
3.801, 23.40, 100
2.720, 32.93, 18
2.217, 40.70, 61
2.207, 40.89, 64
2.189, 41.24, 17
1.901, 47.86, 14
1.711, 53.58, 13

# 8
This entry pairs a crystal structure of Hf3PaP4 with its simulated powder diffractogram. Radiation: λ = 1.5418 Å (Cu Kα). Structure: the PBE geometry in Alexandria.
Kinematic intensities with the Lorentz-polarization factor, no thermal factor.

Crystal structure
```
Hf3PaP4
1.0
7.487 0.000 0.000
0.000 10.644 0.000
0.000 0.000 3.798
Hf Pa P
6 2 8
Direct
0.000 0.000 0.000
0.250 0.250 0.500
0.250 0.750 0.500
0.500 0.500 0.000
0.750 0.250 0.500
0.750 0.750 0.500
0.000 0.500 0.000
0.500 0.000 0.000
0.000 0.245 0.000
0.000 0.755 0.000
0.238 0.000 0.500
0.262 0.500 0.500
0.500 0.255 0.000
0.500 0.745 0.000
0.738 0.500 0.500
0.762 0.000 0.500
```

The 8 most intense peaks (2θ from 10° to 90°), low angle first:
d_spacing, two_theta, I (rel.)
3.092, 28.88, 51
3.062, 29.17, 49
2.664, 33.64, 100
1.899, 47.90, 12
1.883, 48.32, 48
1.614, 57.07, 16
1.602, 57.54, 24
1.546, 59.83, 13

# 9
This entry pairs a crystal structure of TbYTe3 with its simulated powder diffractogram. Radiation: λ = 1.5418 Å (Cu Kα). Structure: the PBE geometry in Alexandria.
Kinematic intensities with the Lorentz-polarization factor, no thermal factor.

Crystal structure
```
TbYTe3
1.0
3.855 2.226 7.047
-3.855 2.226 7.047
0.000 -4.452 7.047
Tb Y Te
2 2 6
Direct
0.157 0.157 0.157
0.843 0.843 0.843
0.343 0.343 0.343
0.657 0.657 0.657
0.064 0.437 0.749
0.251 0.936 0.563
0.437 0.749 0.064
0.563 0.251 0.936
0.749 0.064 0.437
0.936 0.563 0.251
```

The 8 most intense peaks (2θ from 10° to 90°), low angle first:
d_spacing, two_theta, I (rel.)
5.645, 15.70, 25
3.382, 26.35, 100
2.601, 34.49, 81
2.226, 40.53, 55
2.006, 45.20, 23
1.691, 54.24, 21
1.381, 67.85, 19
1.347, 69.85, 19

# 10
This entry pairs a crystal structure of Ac8OsRu3 with its simulated powder diffractogram. Radiation: λ = 1.5418 Å (Cu Kα). Structure: the PBE geometry in Alexandria.
Kinematic intensities with the Lorentz-polarization factor, no thermal factor.

Crystal structure
```
Ac8OsRu3
1.0
6.973 -4.363 0.000
6.973 4.363 0.000
-4.261 0.000 7.054
Ac Os Ru
8 1 3
Direct
0.245 0.245 0.255
0.245 0.746 0.755
0.254 0.755 0.245
0.255 0.255 0.745
0.745 0.745 0.255
0.746 0.245 0.755
0.755 0.254 0.245
0.755 0.755 0.745
0.000 0.000 0.000
0.000 0.500 0.500
0.500 0.000 0.500
0.500 0.500 0.000
```

The 8 most intense peaks (2θ from 10° to 90°), low angle first:
d_spacing, two_theta, I (rel.)
6.509, 13.60, 18
3.524, 25.27, 47
3.254, 27.40, 12
2.988, 29.90, 100
2.182, 41.39, 43
2.050, 44.17, 34
1.762, 51.90, 22
1.371, 68.42, 13